Entry 1:
Structure and theoretical X-ray diffraction stick pattern of Nd2YEr3As6 (a PBE-relaxed structure; Cu Ka).
Intensities are scaled so that the largest is 100.

Atomic structure:
```
Nd2YEr3As6
1.0
9.051 -2.078 0.000
9.051 2.078 0.000
-1.899 0.000 8.085
Nd Y Er As
2 1 3 6
Cartesian
2.371 0.000 2.687
13.831 0.000 5.398
9.051 0.000 0.000
1.440 0.000 6.744
8.101 0.000 4.042
14.762 0.000 1.341
-1.369 0.000 6.062
4.273 0.000 7.474
5.302 0.000 3.313
10.900 0.000 4.771
11.929 0.000 0.611
17.571 0.000 2.023
```

The 6 most intense peaks (2θ = 10–90°), sorted by position:
26.27 deg, intensity 18
30.43 deg, intensity 100
43.57 deg, intensity 74
54.07 deg, intensity 26
71.87 deg, intensity 33
80.01 deg, intensity 23

Entry 2:
Structure and theoretical X-ray diffraction stick pattern of Cs2HgAsI (a PBE-relaxed structure; Cu Ka).
Intensities are scaled so that the largest is 100.

Atomic structure:
```
Cs2HgAsI
1.0
7.219 0.000 0.000
0.000 7.219 0.000
0.000 0.000 5.012
Cs Hg As I
2 1 1 1
Cartesian
0.000 3.609 0.000
3.609 0.000 0.000
0.000 0.000 2.506
0.000 0.000 0.000
3.609 3.609 2.506
```

The 6 most intense peaks (2θ = 10–90°), sorted by position:
24.67 deg, intensity 88
24.90 deg, intensity 100
35.16 deg, intensity 35
43.57 deg, intensity 45
43.99 deg, intensity 37
51.08 deg, intensity 24

Entry 3:
Structure and theoretical X-ray diffraction stick pattern of Na2TmGaTe4 (a PBE-relaxed structure; Cu Ka).
Intensities are scaled so that the largest is 100.

Atomic structure:
```
Na2TmGaTe4
1.0
6.167 -6.291 0.000
6.167 6.291 0.000
-5.838 0.000 6.162
Na Tm Ga Te
4 2 2 8
Cartesian
0.000 0.000 0.000
-2.919 0.000 3.081
3.084 3.145 0.000
0.165 -3.145 3.081
0.165 3.145 3.081
3.084 -3.145 0.000
6.167 0.000 0.000
3.248 0.000 3.081
3.204 3.082 3.129
0.374 3.082 6.114
0.376 0.071 3.273
3.295 -0.071 0.192
3.201 0.071 5.970
6.120 -0.071 2.889
6.123 -3.082 0.048
3.293 -3.082 3.033
```

The 6 most intense peaks (2θ = 10–90°), sorted by position:
12.58 deg, intensity 32
28.38 deg, intensity 55
28.99 deg, intensity 100
41.01 deg, intensity 77
42.60 deg, intensity 22
51.98 deg, intensity 20

Entry 4:
Structure and theoretical X-ray diffraction stick pattern of Pb9O2F14 (a PBE-relaxed structure; Cu Ka).
Intensities are scaled so that the largest is 100.

Atomic structure:
```
Pb9O2F14
1.0
7.476 0.000 0.000
-3.738 6.474 0.000
0.000 0.000 10.200
Pb O F
9 2 14
Cartesian
0.000 0.000 0.000
-0.931 2.288 3.391
-1.291 6.137 3.391
0.000 4.316 0.240
1.516 1.950 6.809
2.222 4.524 3.391
3.738 2.158 9.959
5.029 0.338 6.809
4.669 4.186 6.809
0.000 4.316 2.552
3.738 2.158 7.648
0.000 0.000 2.541
0.000 0.000 7.659
-1.210 2.168 0.865
-1.219 2.281 6.051
-1.256 6.438 0.865
1.272 2.132 9.335
-1.153 6.390 6.051
1.366 2.196 4.149
2.372 4.278 6.051
4.891 0.085 4.149
2.466 4.343 0.865
4.994 0.036 9.335
4.957 4.194 4.149
4.948 4.307 9.335
```

The 6 most intense peaks (2θ = 10–90°), sorted by position:
25.38 deg, intensity 100
26.21 deg, intensity 34
29.63 deg, intensity 46
41.86 deg, intensity 31
42.94 deg, intensity 33
50.06 deg, intensity 26

Entry 5:
Structure and theoretical X-ray diffraction stick pattern of RbAsPd2 (a PBE-relaxed structure; Cu Ka).
Intensities are scaled so that the largest is 100.

Atomic structure:
```
RbAsPd2
1.0
4.078 -4.093 0.000
4.078 4.093 0.000
0.000 0.000 7.597
Rb As Pd
2 2 4
Cartesian
2.039 2.046 0.000
2.039 -2.046 3.799
0.000 0.000 1.899
0.000 0.000 5.698
1.089 1.088 3.799
1.089 -1.088 0.000
7.066 1.088 0.000
7.066 -1.088 3.799
```

The 6 most intense peaks (2θ = 10–90°), sorted by position:
15.34 deg, intensity 100
23.42 deg, intensity 31
32.18 deg, intensity 37
33.18 deg, intensity 45
36.69 deg, intensity 25
42.31 deg, intensity 37

Entry 6:
Structure and theoretical X-ray diffraction stick pattern of AcAgAs2O6 (a PBE-relaxed structure; Cu Ka).
Intensities are scaled so that the largest is 100.

Atomic structure:
```
AcAgAs2O6
1.0
2.861 1.652 6.045
-2.861 1.652 6.045
0.000 -3.304 6.045
Ac Ag As O
1 1 2 6
Cartesian
0.000 0.000 0.000
0.000 0.000 9.067
0.000 0.000 3.923
0.000 0.000 14.212
-2.083 -0.214 7.552
-0.857 -1.911 10.582
1.227 -1.697 7.552
-1.227 1.697 10.582
0.857 1.911 7.552
2.083 0.214 10.582
```

The 6 most intense peaks (2θ = 10–90°), sorted by position:
20.42 deg, intensity 26
26.65 deg, intensity 100
31.26 deg, intensity 62
41.53 deg, intensity 25
43.56 deg, intensity 28
52.89 deg, intensity 26

Entry 7:
Structure and theoretical X-ray diffraction stick pattern of CdNiPt14 (a PBE-relaxed structure; Cu Ka).
Intensities are scaled so that the largest is 100.

Atomic structure:
```
CdNiPt14
1.0
9.325 0.000 0.000
0.000 2.787 4.840
0.000 -2.787 4.840
Cd Ni Pt
1 1 14
Cartesian
0.000 0.000 0.000
0.000 0.000 4.830
0.000 -1.392 2.422
0.000 1.392 2.422
2.263 0.000 6.395
2.305 -1.378 3.993
2.305 1.378 3.993
2.338 0.000 1.580
4.662 0.000 3.165
4.662 -1.389 5.581
4.662 1.389 5.581
4.662 0.000 7.997
6.987 0.000 1.580
7.019 -1.378 3.993
7.019 1.378 3.993
7.062 0.000 6.395
```

The 6 most intense peaks (2θ = 10–90°), sorted by position:
38.48 deg, intensity 35
38.62 deg, intensity 36
42.11 deg, intensity 100
47.67 deg, intensity 19
72.28 deg, intensity 20
80.12 deg, intensity 20

Entry 8:
Structure and theoretical X-ray diffraction stick pattern of Tl2AgRh3O8 (a PBE-relaxed structure; Cu Ka).
Intensities are scaled so that the largest is 100.

Atomic structure:
```
Tl2AgRh3O8
1.0
3.148 1.818 5.681
-3.148 1.818 5.681
0.000 -3.635 5.681
Tl Ag Rh O
2 1 3 8
Cartesian
0.000 0.000 0.000
0.000 0.000 6.363
0.000 0.000 10.846
0.000 1.797 14.233
1.556 -0.898 14.233
-1.556 -0.898 14.233
-1.738 -1.003 9.642
0.000 0.000 3.835
0.000 -2.038 7.446
-1.765 1.019 7.446
1.738 -1.003 9.642
0.000 2.007 9.642
0.000 0.000 13.190
1.765 1.019 7.446
```

The 6 most intense peaks (2θ = 10–90°), sorted by position:
28.35 deg, intensity 40
30.94 deg, intensity 43
32.52 deg, intensity 100
52.89 deg, intensity 26
54.68 deg, intensity 29
58.65 deg, intensity 27

Question: What is the formula in the fifth record?
Answer: RbAsPd2

What did the third record say?
Structure and theoretical X-ray diffraction stick pattern of Na2TmGaTe4 (a PBE-relaxed structure; Cu Ka).
Intensities are scaled so that the largest is 100.

Atomic structure:
```
Na2TmGaTe4
1.0
6.167 -6.291 0.000
6.167 6.291 0.000
-5.838 0.000 6.162
Na Tm Ga Te
4 2 2 8
Cartesian
0.000 0.000 0.000
-2.919 0.000 3.081
3.084 3.145 0.000
0.165 -3.145 3.081
0.165 3.145 3.081
3.084 -3.145 0.000
6.167 0.000 0.000
3.248 0.000 3.081
3.204 3.082 3.129
0.374 3.082 6.114
0.376 0.071 3.273
3.295 -0.071 0.192
3.201 0.071 5.970
6.120 -0.071 2.889
6.123 -3.082 0.048
3.293 -3.082 3.033
```

The 6 most intense peaks (2θ = 10–90°), sorted by position:
12.58 deg, intensity 32
28.38 deg, intensity 55
28.99 deg, intensity 100
41.01 deg, intensity 77
42.60 deg, intensity 22
51.98 deg, intensity 20